1.
Starting from a DFT-relaxed cell (PBE, OQMD), the X-ray diffraction stick pattern of Tm4GeC2S was simulated for Cu Kα X-rays.
Intensities are scaled so that the largest is 100.

Peak list (10 most intense, 5 to 70 degrees two-theta, low angle first)
2θ 28.70, d = 3.111 Å, I = 29
2θ 29.45, d = 3.033 Å, I = 22
2θ 34.91, d = 2.570 Å, I = 100
2θ 39.13, d = 2.302 Å, I = 10
2θ 39.49, d = 2.282 Å, I = 10
2θ 49.54, d = 1.840 Å, I = 10
2θ 50.84, d = 1.796 Å, I = 28
2θ 61.87, d = 1.500 Å, I = 11
2θ 63.16, d = 1.472 Å, I = 18
2θ 66.22, d = 1.411 Å, I = 13

Crystal structure
```
Tm4GeC2S
1.0
3.592 0.000 0.000
-1.796 3.111 0.000
0.000 0.000 13.693
Tm Ge C S
4 1 2 1
Direct
0.000 0.000 0.137
0.000 0.000 0.863
0.667 0.333 0.329
0.667 0.333 0.671
0.000 0.000 0.500
0.333 0.667 0.233
0.333 0.667 0.767
0.667 0.333 0.000
```



2.
Starting from a DFT-relaxed cell (PBE, OQMD), the X-ray diffraction stick pattern of K2CuMoCl6 was simulated for Cu Kα X-rays.
Intensities are scaled so that the largest is 100.

Peak list (10 most intense, 5 to 70 degrees two-theta, low angle first)
2θ 17.93, d = 4.947 Å, I = 72
2θ 25.46, d = 3.498 Å, I = 76
2θ 31.32, d = 2.856 Å, I = 16
2θ 36.32, d = 2.473 Å, I = 100
2θ 40.79, d = 2.212 Å, I = 33
2θ 44.88, d = 2.020 Å, I = 32
2θ 52.31, d = 1.749 Å, I = 63
2θ 55.75, d = 1.649 Å, I = 16
2θ 59.05, d = 1.564 Å, I = 14
2θ 65.34, d = 1.428 Å, I = 20

Crystal structure
```
K2CuMoCl6
1.0
0.000 4.947 4.947
4.947 0.000 4.947
4.947 4.947 0.000
K Cu Mo Cl
2 1 1 6
Direct
0.250 0.250 0.250
0.750 0.750 0.750
0.000 0.000 0.000
0.500 0.500 0.500
0.252 0.252 0.748
0.252 0.748 0.252
0.252 0.748 0.748
0.748 0.252 0.252
0.748 0.252 0.748
0.748 0.748 0.252
```



3.
Starting from a DFT-relaxed cell (PBE, OQMD), the X-ray diffraction stick pattern of KNdP4O12 was simulated for Cu Kα X-rays.
Intensities are scaled so that the largest is 100.

Peak list (10 most intense, 5 to 70 degrees two-theta, low angle first)
2θ 14.24, d = 6.218 Å, I = 43
2θ 17.03, d = 5.208 Å, I = 97
2θ 19.20, d = 4.624 Å, I = 50
2θ 24.41, d = 3.647 Å, I = 31
2θ 24.68, d = 3.607 Å, I = 32
2θ 26.15, d = 3.408 Å, I = 100
2θ 28.05, d = 3.182 Å, I = 35
2θ 28.22, d = 3.162 Å, I = 94
2θ 28.48, d = 3.134 Å, I = 24
2θ 38.37, d = 2.346 Å, I = 47

Crystal structure
```
KNdP4O12
1.0
3.900 -6.128 0.000
3.900 6.128 0.000
-3.744 0.000 9.878
K Nd P O
2 2 8 24
Direct
0.182 0.818 0.750
0.818 0.182 0.250
0.120 0.880 0.250
0.880 0.120 0.750
0.266 0.306 0.564
0.286 0.635 0.997
0.306 0.266 0.064
0.365 0.714 0.503
0.635 0.286 0.497
0.694 0.734 0.936
0.714 0.365 0.003
0.734 0.694 0.436
0.079 0.495 0.886
0.137 0.167 0.422
0.167 0.137 0.922
0.168 0.688 0.406
0.205 0.241 0.682
0.241 0.205 0.182
0.287 0.540 0.582
0.312 0.832 0.094
0.361 0.512 0.088
0.460 0.713 0.918
0.488 0.639 0.412
0.495 0.079 0.386
0.505 0.921 0.614
0.512 0.361 0.588
0.540 0.287 0.082
0.639 0.488 0.912
0.688 0.168 0.906
0.713 0.460 0.418
0.759 0.795 0.818
0.795 0.759 0.318
0.832 0.312 0.594
0.833 0.863 0.078
0.863 0.833 0.578
0.921 0.505 0.114
```



4.
Starting from a DFT-relaxed cell (PBE, OQMD), the X-ray diffraction stick pattern of AlCdGaSe3S was simulated for Cu Kα X-rays.
Intensities are scaled so that the largest is 100.

Peak list (10 most intense, 5 to 70 degrees two-theta, low angle first)
2θ 17.32, d = 5.120 Å, I = 41
2θ 27.01, d = 3.301 Å, I = 57
2θ 27.36, d = 3.260 Å, I = 100
2θ 27.51, d = 3.243 Å, I = 53
2θ 43.85, d = 2.065 Å, I = 26
2θ 44.46, d = 2.038 Å, I = 26
2θ 45.70, d = 1.985 Å, I = 47
2θ 45.98, d = 1.974 Å, I = 23
2θ 46.35, d = 1.959 Å, I = 22
2θ 52.79, d = 1.734 Å, I = 24

Crystal structure
```
AlCdGaSe3S
1.0
5.782 0.000 0.000
-0.077 5.822 0.000
-2.777 -2.939 5.396
Al Cd Ga Se S
1 1 1 3 1
Direct
0.000 0.000 0.000
0.491 0.491 0.003
0.241 0.754 0.509
0.370 0.913 0.278
0.630 0.628 0.728
0.893 0.359 0.278
0.102 0.089 0.744
```